Starting from the PBE geometry in Alexandria, the PXRD pattern of PaTePt was simulated for CuKα.
Peak positions follow from Bragg's law for the DFT cell and can differ from measured ones.

Crystal structure
```
data_PaTePt
_chemical_formula_sum 'Pa2 Te2 Pt2'
_cell_length_a 4.0751
_cell_length_b 4.0751
_cell_length_c 8.8484
_cell_angle_alpha 90.00
_cell_angle_beta 90.00
_cell_angle_gamma 90.00
_space_group_name_H-M_alt 'P 1'
_space_group_IT_number 1
loop_
_space_group_symop_operation_xyz
'x,y,z'
loop_
_atom_site_label
_atom_site_fract_x
_atom_site_fract_y
_atom_site_fract_z
Pa1 0.2500 0.2500 0.2326
Pa2 0.7500 0.7500 0.7674
Te1 0.2500 0.2500 0.6236
Te2 0.7500 0.7500 0.3764
Pt1 0.2500 0.7500 0.0000
Pt2 0.7500 0.2500 0.0000
```

Largest 6 diffraction maxima, in order of rising 2θ, 10° ≤ 2θ ≤ 90°:
| d (Å) | I/Imax |
| --- | --- |
| 3.701 | 34 |
| 2.997 | 32 |
| 2.740 | 55 |
| 2.415 | 100 |
| 2.389 | 53 |
| 2.038 | 53 |



Starting from the PBE geometry in Alexandria, the PXRD pattern of ThPaPt6 was simulated for CuKα.
Peak positions follow from Bragg's law for the DFT cell and can differ from measured ones.

Crystal structure
```
data_ThPaPt6
_chemical_formula_sum 'Th1 Pa1 Pt6'
_cell_length_a 4.2299
_cell_length_b 4.2299
_cell_length_c 8.3570
_cell_angle_alpha 90.00
_cell_angle_beta 90.00
_cell_angle_gamma 90.00
_space_group_name_H-M_alt 'P 1'
_space_group_IT_number 1
loop_
_space_group_symop_operation_xyz
'x,y,z'
loop_
_atom_site_label
_atom_site_fract_x
_atom_site_fract_y
_atom_site_fract_z
Th1 0.0000 0.0000 0.0000
Pa1 0.0000 0.0000 0.5000
Pt1 0.0000 0.5000 0.2552
Pt2 0.0000 0.5000 0.7448
Pt3 0.5000 0.0000 0.2552
Pt4 0.5000 0.0000 0.7448
Pt5 0.5000 0.5000 0.0000
Pt6 0.5000 0.5000 0.5000
```

Largest 6 diffraction maxima, in order of rising 2θ, 10° ≤ 2θ ≤ 90°:
| d (Å) | I/Imax |
| --- | --- |
| 2.432 | 100 |
| 2.115 | 34 |
| 2.089 | 16 |
| 1.486 | 22 |
| 1.274 | 27 |
| 1.263 | 13 |



Starting from the PBE geometry in Alexandria, the PXRD pattern of Th3PaPt12 was simulated for CuKα.
Peak positions follow from Bragg's law for the DFT cell and can differ from measured ones.

Crystal structure
```
data_Th3PaPt12
_chemical_formula_sum 'Th3 Pa1 Pt12'
_cell_length_a 4.2372
_cell_length_b 4.2372
_cell_length_c 16.7976
_cell_angle_alpha 90.00
_cell_angle_beta 90.00
_cell_angle_gamma 90.00
_space_group_name_H-M_alt 'P 1'
_space_group_IT_number 1
loop_
_space_group_symop_operation_xyz
'x,y,z'
loop_
_atom_site_label
_atom_site_fract_x
_atom_site_fract_y
_atom_site_fract_z
Th1 0.0000 0.0000 0.0000
Th2 0.0000 0.0000 0.2518
Th3 0.0000 0.0000 0.7482
Pa1 0.0000 0.0000 0.5000
Pt1 0.0000 0.5000 0.1260
Pt2 0.0000 0.5000 0.3786
Pt3 0.0000 0.5000 0.6214
Pt4 0.0000 0.5000 0.8740
Pt5 0.5000 0.0000 0.1260
Pt6 0.5000 0.0000 0.3786
Pt7 0.5000 0.0000 0.6214
Pt8 0.5000 0.0000 0.8740
Pt9 0.5000 0.5000 0.0000
Pt10 0.5000 0.5000 0.2517
Pt11 0.5000 0.5000 0.5000
Pt12 0.5000 0.5000 0.7483
```

Largest 6 diffraction maxima, in order of rising 2θ, 10° ≤ 2θ ≤ 90°:
| d (Å) | I/Imax |
| --- | --- |
| 2.439 | 100 |
| 2.119 | 34 |
| 2.100 | 16 |
| 1.491 | 22 |
| 1.277 | 27 |
| 1.268 | 13 |



Starting from the PBE geometry in Alexandria, the PXRD pattern of ThPaPt was simulated for CuKα.
Peak positions follow from Bragg's law for the DFT cell and can differ from measured ones.

Crystal structure
```
data_ThPaPt
_chemical_formula_sum 'Th2 Pa2 Pt2'
_cell_length_a 4.5440
_cell_length_b 4.4344
_cell_length_c 7.5774
_cell_angle_alpha 90.00
_cell_angle_beta 93.63
_cell_angle_gamma 90.00
_space_group_name_H-M_alt 'P 1'
_space_group_IT_number 1
loop_
_space_group_symop_operation_xyz
'x,y,z'
loop_
_atom_site_label
_atom_site_fract_x
_atom_site_fract_y
_atom_site_fract_z
Th1 0.2277 0.2500 0.3635
Th2 0.7723 0.7500 0.6365
Pa1 0.1913 0.7500 0.9762
Pa2 0.8087 0.2500 0.0238
Pt1 0.3402 0.2500 0.7433
Pt2 0.6598 0.7500 0.2567
```

Largest 6 diffraction maxima, in order of rising 2θ, 10° ≤ 2θ ≤ 90°:
| d (Å) | I/Imax |
| --- | --- |
| 2.971 | 100 |
| 2.818 | 34 |
| 2.484 | 36 |
| 2.378 | 37 |
| 2.217 | 37 |
| 1.742 | 33 |



Starting from the PBE geometry in Alexandria, the PXRD pattern of PaTiPt was simulated for CuKα.
Peak positions follow from Bragg's law for the DFT cell and can differ from measured ones.

Crystal structure
```
data_PaTiPt
_chemical_formula_sum 'Pa2 Ti2 Pt2'
_cell_length_a 8.7117
_cell_length_b 8.7117
_cell_length_c 4.2936
_cell_angle_alpha 90.00
_cell_angle_beta 90.00
_cell_angle_gamma 159.02
_space_group_name_H-M_alt 'P 1'
_space_group_IT_number 1
loop_
_space_group_symop_operation_xyz
'x,y,z'
loop_
_atom_site_label
_atom_site_fract_x
_atom_site_fract_y
_atom_site_fract_z
Pa1 0.2083 0.7917 0.7500
Pa2 0.7917 0.2083 0.2500
Ti1 0.4126 0.5874 0.7500
Ti2 0.5874 0.4126 0.2500
Pt1 0.0495 0.9505 0.7500
Pt2 0.9505 0.0495 0.2500
```

Largest 6 diffraction maxima, in order of rising 2θ, 10° ≤ 2θ ≤ 90°:
| d (Å) | I/Imax |
| --- | --- |
| 3.838 | 53 |
| 3.119 | 38 |
| 2.523 | 100 |
| 2.378 | 81 |
| 2.147 | 37 |
| 2.046 | 43 |



Starting from the PBE geometry in Alexandria, the PXRD pattern of YPa3Pt4 was simulated for CuKα.
Peak positions follow from Bragg's law for the DFT cell and can differ from measured ones.

Crystal structure
```
data_YPa3Pt4
_chemical_formula_sum 'Y2 Pa6 Pt8'
_cell_length_a 7.2590
_cell_length_b 7.2640
_cell_length_c 7.4205
_cell_angle_alpha 75.01
_cell_angle_beta 75.02
_cell_angle_gamma 74.61
_space_group_name_H-M_alt 'P 1'
_space_group_IT_number 1
loop_
_space_group_symop_operation_xyz
'x,y,z'
loop_
_atom_site_label
_atom_site_fract_x
_atom_site_fract_y
_atom_site_fract_z
Y1 0.0063 0.2145 0.3143
Y2 0.9937 0.7855 0.6857
Pa1 0.0360 0.7412 0.1795
Pa2 0.4593 0.7576 0.3220
Pa3 0.4977 0.2916 0.1829
Pa4 0.5023 0.7084 0.8171
Pa5 0.5407 0.2424 0.6780
Pa6 0.9640 0.2588 0.8205
Pt1 0.2206 0.4585 0.9295
Pt2 0.2214 0.4670 0.4818
Pt3 0.2839 0.0217 0.0114
Pt4 0.2867 0.0333 0.5744
Pt5 0.7133 0.9667 0.4256
Pt6 0.7161 0.9783 0.9886
Pt7 0.7786 0.5330 0.5182
Pt8 0.7794 0.5415 0.0705
```

Largest 6 diffraction maxima, in order of rising 2θ, 10° ≤ 2θ ≤ 90°:
| d (Å) | I/Imax |
| --- | --- |
| 2.746 | 100 |
| 2.731 | 40 |
| 2.320 | 25 |
| 2.241 | 31 |
| 2.235 | 37 |
| 2.201 | 29 |



Starting from the PBE geometry in Alexandria, the PXRD pattern of YPaPt2 was simulated for CuKα.
Peak positions follow from Bragg's law for the DFT cell and can differ from measured ones.

Crystal structure
```
data_YPaPt2
_chemical_formula_sum 'Y2 Pa2 Pt4'
_cell_length_a 5.7874
_cell_length_b 4.3526
_cell_length_c 7.5702
_cell_angle_alpha 90.00
_cell_angle_beta 109.33
_cell_angle_gamma 90.00
_space_group_name_H-M_alt 'P 1'
_space_group_IT_number 1
loop_
_space_group_symop_operation_xyz
'x,y,z'
loop_
_atom_site_label
_atom_site_fract_x
_atom_site_fract_y
_atom_site_fract_z
Y1 0.2142 0.2500 0.1772
Y2 0.7858 0.7500 0.8228
Pa1 0.2334 0.2500 0.6839
Pa2 0.7666 0.7500 0.3160
Pt1 0.3036 0.7500 0.4571
Pt2 0.3201 0.7500 0.9472
Pt3 0.6799 0.2500 0.0528
Pt4 0.6964 0.2500 0.5429
```

Largest 6 diffraction maxima, in order of rising 2θ, 10° ≤ 2θ ≤ 90°:
| d (Å) | I/Imax |
| --- | --- |
| 2.763 | 100 |
| 2.731 | 39 |
| 2.251 | 41 |
| 2.244 | 41 |
| 2.176 | 35 |
| 1.893 | 22 |



Starting from the PBE geometry in Alexandria, the PXRD pattern of PaZnPt3 was simulated for CuKα.
Peak positions follow from Bragg's law for the DFT cell and can differ from measured ones.

Crystal structure
```
data_PaZnPt3
_chemical_formula_sum 'Pa2 Zn2 Pt6'
_cell_length_a 8.4001
_cell_length_b 8.4001
_cell_length_c 8.4001
_cell_angle_alpha 37.37
_cell_angle_beta 37.37
_cell_angle_gamma 37.37
_space_group_name_H-M_alt 'P 1'
_space_group_IT_number 1
loop_
_space_group_symop_operation_xyz
'x,y,z'
loop_
_atom_site_label
_atom_site_fract_x
_atom_site_fract_y
_atom_site_fract_z
Pa1 0.1953 0.1953 0.1953
Pa2 0.8047 0.8047 0.8047
Zn1 0.3230 0.3230 0.3230
Zn2 0.6770 0.6770 0.6770
Pt1 0.2489 0.7489 0.7489
Pt2 0.2511 0.2511 0.7511
Pt3 0.2511 0.7511 0.2511
Pt4 0.7489 0.2489 0.7489
Pt5 0.7489 0.7489 0.2489
Pt6 0.7511 0.2511 0.2511
```

Largest 6 diffraction maxima, in order of rising 2θ, 10° ≤ 2θ ≤ 90°:
| d (Å) | I/Imax |
| --- | --- |
| 3.902 | 35 |
| 2.478 | 43 |
| 2.286 | 100 |
| 2.215 | 39 |
| 2.165 | 49 |
| 1.345 | 23 |



Starting from the PBE geometry in Alexandria, the PXRD pattern of PaZn4Pt2 was simulated for CuKα.
Peak positions follow from Bragg's law for the DFT cell and can differ from measured ones.

Crystal structure
```
data_PaZn4Pt2
_chemical_formula_sum 'Pa2 Zn8 Pt4'
_cell_length_a 7.6583
_cell_length_b 7.6583
_cell_length_c 4.1431
_cell_angle_alpha 90.00
_cell_angle_beta 90.00
_cell_angle_gamma 90.00
_space_group_name_H-M_alt 'P 1'
_space_group_IT_number 1
loop_
_space_group_symop_operation_xyz
'x,y,z'
loop_
_atom_site_label
_atom_site_fract_x
_atom_site_fract_y
_atom_site_fract_z
Pa1 0.0000 0.0000 0.0000
Pa2 0.5000 0.5000 0.5000
Zn1 0.1001 0.3514 0.5000
Zn2 0.1486 0.6001 0.0000
Zn3 0.3514 0.1001 0.5000
Zn4 0.3999 0.8514 0.0000
Zn5 0.6001 0.1486 0.0000
Zn6 0.6486 0.8999 0.5000
Zn7 0.8514 0.3999 0.0000
Zn8 0.8999 0.6486 0.5000
Pt1 0.1945 0.8055 0.5000
Pt2 0.3055 0.3055 0.0000
Pt3 0.6945 0.6945 0.0000
Pt4 0.8055 0.1945 0.5000
```

Largest 6 diffraction maxima, in order of rising 2θ, 10° ≤ 2θ ≤ 90°:
| d (Å) | I/Imax |
| --- | --- |
| 2.708 | 32 |
| 2.640 | 100 |
| 2.267 | 38 |
| 2.173 | 42 |
| 2.091 | 35 |
| 2.072 | 34 |



Starting from the PBE geometry in Alexandria, the PXRD pattern of ZrPa5Pt6 was simulated for CuKα.
Peak positions follow from Bragg's law for the DFT cell and can differ from measured ones.

Crystal structure
```
data_ZrPa5Pt6
_chemical_formula_sum 'Zr1 Pa5 Pt6'
_cell_length_a 7.3670
_cell_length_b 7.3670
_cell_length_c 6.3643
_cell_angle_alpha 101.11
_cell_angle_beta 101.11
_cell_angle_gamma 119.56
_space_group_name_H-M_alt 'P 1'
_space_group_IT_number 1
loop_
_space_group_symop_operation_xyz
'x,y,z'
loop_
_atom_site_label
_atom_site_fract_x
_atom_site_fract_y
_atom_site_fract_z
Zr1 0.0000 0.0000 0.0000
Pa1 0.1631 0.8369 0.5000
Pa2 0.3302 0.6698 0.0000
Pa3 0.5000 0.5000 0.5000
Pa4 0.6698 0.3302 0.0000
Pa5 0.8369 0.1631 0.5000
Pt1 0.0837 0.4157 0.2466
Pt2 0.2543 0.2543 0.7625
Pt3 0.4157 0.0837 0.2466
Pt4 0.5843 0.9163 0.7534
Pt5 0.7457 0.7457 0.2375
Pt6 0.9163 0.5843 0.7534
```

Largest 6 diffraction maxima, in order of rising 2θ, 10° ≤ 2θ ≤ 90°:
| d (Å) | I/Imax |
| --- | --- |
| 2.831 | 100 |
| 2.136 | 31 |
| 2.122 | 15 |
| 1.889 | 21 |
| 1.698 | 15 |
| 1.333 | 14 |



Starting from the PBE geometry in Alexandria, the PXRD pattern of PuPa11 was simulated for CuKα.
Peak positions follow from Bragg's law for the DFT cell and can differ from measured ones.

Crystal structure
```
data_PuPa11
_chemical_formula_sum 'Pu1 Pa11'
_cell_length_a 10.5031
_cell_length_b 10.5031
_cell_length_c 3.0790
_cell_angle_alpha 90.00
_cell_angle_beta 90.00
_cell_angle_gamma 120.00
_space_group_name_H-M_alt 'P 1'
_space_group_IT_number 1
loop_
_space_group_symop_operation_xyz
'x,y,z'
loop_
_atom_site_label
_atom_site_fract_x
_atom_site_fract_y
_atom_site_fract_z
Pu1 0.0000 0.0000 0.0000
Pa1 0.0000 0.5000 0.0000
Pa2 0.1668 0.3336 0.5000
Pa3 0.1668 0.8332 0.5000
Pa4 0.3333 0.6667 0.0000
Pa5 0.3336 0.1668 0.5000
Pa6 0.5000 0.0000 0.0000
Pa7 0.5000 0.5000 0.0000
Pa8 0.6664 0.8332 0.5000
Pa9 0.6667 0.3333 0.0000
Pa10 0.8332 0.1668 0.5000
Pa11 0.8332 0.6664 0.5000
```

Largest 6 diffraction maxima, in order of rising 2θ, 10° ≤ 2θ ≤ 90°:
| d (Å) | I/Imax |
| --- | --- |
| 2.656 | 23 |
| 2.626 | 100 |
| 2.550 | 46 |
| 1.516 | 19 |
| 1.501 | 19 |
| 1.328 | 25 |



Starting from the PBE geometry in Alexandria, the PXRD pattern of Pu2Pa5 was simulated for CuKα.
Peak positions follow from Bragg's law for the DFT cell and can differ from measured ones.

Crystal structure
```
data_Pu2Pa5
_chemical_formula_sum 'Pu2 Pa5'
_cell_length_a 5.0068
_cell_length_b 5.0068
_cell_length_c 8.3402
_cell_angle_alpha 114.61
_cell_angle_beta 114.61
_cell_angle_gamma 66.60
_space_group_name_H-M_alt 'P 1'
_space_group_IT_number 1
loop_
_space_group_symop_operation_xyz
'x,y,z'
loop_
_atom_site_label
_atom_site_fract_x
_atom_site_fract_y
_atom_site_fract_z
Pu1 0.0716 0.0716 0.3562
Pu2 0.9284 0.9284 0.6438
Pa1 0.2139 0.2139 0.0706
Pa2 0.3523 0.3523 0.7793
Pa3 0.5000 0.5000 0.5000
Pa4 0.6477 0.6477 0.2207
Pa5 0.7861 0.7861 0.9294
```

Largest 6 diffraction maxima, in order of rising 2θ, 10° ≤ 2θ ≤ 90°:
| d (Å) | I/Imax |
| --- | --- |
| 2.745 | 100 |
| 2.450 | 74 |
| 2.445 | 73 |
| 1.941 | 38 |
| 1.522 | 52 |
| 1.368 | 19 |